No. 1
# Cu2Ag2Hg
Simulated PXRD pattern, a wavelength of 1.5418 Å. Input: a GGA-PBE-relaxed structure.
Peak positions follow from Bragg's law for the DFT cell and can differ from measured ones.

Main lines, most intense first (2θ from 15° to 90°):
2θ/deg  Rel. int.
38.78  100.0
40.81  89.7
36.49  76.7
31.51  44.2
68.81  37.1
36.34  26.6
52.80  22.0
62.38  20.9
74.39  20.2
48.85  18.3

Atomic structure:
Cell: 6.992 6.992 3.468 Å, 90.00 90.00 90.00°
Fractional coordinates of all 10 atoms:
Cu  0.127  0.373  0.000
Cu  0.373  0.873  0.000
Cu  0.627  0.127  0.000
Cu  0.873  0.627  0.000
Ag  0.165  0.665  0.500
Ag  0.335  0.165  0.500
Ag  0.665  0.835  0.500
Ag  0.835  0.335  0.500
Hg  0.000  0.000  0.000
Hg  0.500  0.500  0.000



No. 2
# Tb6Pm4Pu
Simulated PXRD pattern, a wavelength of 1.5418 Å. Input: a GGA-PBE-relaxed structure.
Peak positions follow from Bragg's law for the DFT cell and can differ from measured ones.

Main lines, most intense first (2θ from 15° to 90°):
2θ/deg  Rel. int.
31.10  100.0
30.59  95.7
26.74  49.9
33.37  42.2
40.53  35.0
32.40  31.7
39.25  30.8
65.82  29.8
34.43  16.2
62.77  15.4

Atomic structure:
Cell: 9.067 9.067 9.067 Å, 84.09 84.09 84.09°
Fractional coordinates of all 22 atoms:
Tb  0.053  0.336  0.931
Tb  0.069  0.947  0.664
Tb  0.164  0.447  0.569
Tb  0.336  0.931  0.053
Tb  0.431  0.836  0.553
Tb  0.447  0.569  0.164
Tb  0.553  0.431  0.836
Tb  0.569  0.164  0.447
Tb  0.664  0.069  0.947
Tb  0.836  0.553  0.431
Tb  0.931  0.053  0.336
Tb  0.947  0.664  0.069
Pm  0.156  0.750  0.344
Pm  0.250  0.250  0.250
Pm  0.250  0.656  0.844
Pm  0.344  0.156  0.750
Pm  0.656  0.844  0.250
Pm  0.750  0.344  0.156
Pm  0.750  0.750  0.750
Pm  0.844  0.250  0.656
Pu  0.000  0.000  0.000
Pu  0.500  0.500  0.500



No. 3
# Re7Tc2W2
Simulated PXRD pattern, a wavelength of 1.5418 Å. Input: a GGA-PBE-relaxed structure.
Peak positions follow from Bragg's law for the DFT cell and can differ from measured ones.

Main lines, most intense first (2θ from 15° to 90°):
2θ/deg  Rel. int.
42.38  100.0
39.65  58.1
21.20  54.1
35.16  24.3
44.62  22.0
44.97  21.1
41.64  20.8
36.15  16.1
76.99  15.2
40.38  14.1

Atomic structure:
Cell: 5.137 5.137 8.360 Å, 102.88 102.88 64.79°
Fractional coordinates of all 11 atoms:
Re  0.000  0.000  0.000
Re  0.100  0.575  0.776
Re  0.229  0.229  0.496
Re  0.425  0.900  0.224
Re  0.575  0.100  0.776
Re  0.771  0.771  0.504
Re  0.900  0.425  0.224
Tc  0.280  0.720  0.500
Tc  0.720  0.280  0.500
W  0.349  0.349  0.063
W  0.651  0.651  0.937



No. 4
# CoMo2As
Simulated PXRD pattern, a wavelength of 1.5418 Å. Input: a GGA-PBE-relaxed structure.
Peak positions follow from Bragg's law for the DFT cell and can differ from measured ones.

Main lines, most intense first (2θ from 15° to 90°):
2θ/deg  Rel. int.
41.64  100.0
42.31  25.0
43.42  19.6
76.91  15.6
62.23  12.9
78.46  10.1
58.43  9.3
74.75  8.8
38.65  7.8
75.53  7.1

Atomic structure:
Cell: 4.943 4.943 4.943 Å, 142.73 128.78 65.03°
Fractional coordinates of all 4 atoms:
Co  0.000  0.000  0.000
Mo  0.263  0.763  0.500
Mo  0.539  0.539  0.000
As  0.793  0.293  0.500



No. 5
# CePuTeS
Simulated PXRD pattern, a wavelength of 1.5418 Å. Input: a GGA-PBE-relaxed structure.
Peak positions follow from Bragg's law for the DFT cell and can differ from measured ones.

Main lines, most intense first (2θ from 15° to 90°):
2θ/deg  Rel. int.
30.00  100.0
43.63  38.4
42.25  32.2
26.18  23.2
53.85  22.6
25.12  19.3
62.32  18.3
32.60  18.1
71.72  18.0
79.16  14.5

Atomic structure:
Cell: 7.493 7.493 7.493 Å, 32.15 32.15 32.15°
Fractional coordinates of all 4 atoms:
Ce  0.000  0.000  0.000
Pu  0.525  0.525  0.525
Te  0.764  0.764  0.764
S  0.259  0.259  0.259



No. 6
# SrPmY4Se8
Simulated PXRD pattern, a wavelength of 1.5418 Å. Input: a GGA-PBE-relaxed structure.
Peak positions follow from Bragg's law for the DFT cell and can differ from measured ones.

Main lines, most intense first (2θ from 15° to 90°):
2θ/deg  Rel. int.
29.46  100.0
42.29  72.4
42.01  71.3
24.37  65.6
38.61  48.8
24.24  25.8
61.14  21.7
77.15  20.8
20.78  19.3
52.38  17.9

Atomic structure:
Cell: 8.603 8.603 8.603 Å, 59.58 59.58 59.58°
Fractional coordinates of all 14 atoms:
Sr  0.000  0.000  0.000
Pm  0.628  0.628  0.628
Y  0.121  0.628  0.628
Y  0.252  0.252  0.252
Y  0.628  0.121  0.628
Y  0.628  0.628  0.121
Se  0.380  0.380  0.856
Se  0.380  0.856  0.380
Se  0.384  0.384  0.384
Se  0.415  0.867  0.867
Se  0.856  0.380  0.380
Se  0.862  0.862  0.862
Se  0.867  0.415  0.867
Se  0.867  0.867  0.415



No. 7
# Th4Ga2Ag5
Simulated PXRD pattern, a wavelength of 1.5418 Å. Input: a GGA-PBE-relaxed structure.
Peak positions follow from Bragg's law for the DFT cell and can differ from measured ones.

Main lines, most intense first (2θ from 15° to 90°):
2θ/deg  Rel. int.
32.54  100.0
30.99  50.1
41.45  25.2
37.45  24.1
41.79  19.6
25.09  17.3
60.33  13.3
23.08  12.8
70.00  12.0
38.02  10.0

Atomic structure:
Cell: 7.130 4.356 8.682 Å, 90.00 95.28 90.00°
Fractional coordinates of all 11 atoms:
Th  0.206  0.000  0.367
Th  0.239  0.000  0.917
Th  0.761  0.000  0.083
Th  0.794  0.000  0.633
Ga  0.080  0.500  0.136
Ga  0.920  0.500  0.864
Ag  0.151  0.500  0.635
Ag  0.459  0.500  0.168
Ag  0.500  0.500  0.500
Ag  0.541  0.500  0.832
Ag  0.849  0.500  0.365



No. 8
# NpCdH
Simulated PXRD pattern, a wavelength of 1.5418 Å. Input: a GGA-PBE-relaxed structure.
Peak positions follow from Bragg's law for the DFT cell and can differ from measured ones.

Main lines, most intense first (2θ from 15° to 90°):
2θ/deg  Rel. int.
33.27  100.0
35.50  23.9
31.20  19.1
62.34  16.6
34.35  15.9
23.76  15.5
45.19  15.2
58.75  11.2
50.23  10.9
75.80  9.4

Atomic structure:
Cell: 6.138 6.138 6.138 Å, 141.85 131.34 63.45°
Fractional coordinates of all 6 atoms:
Np  0.347  0.097  0.250
Np  0.653  0.903  0.750
Cd  0.101  0.351  0.750
Cd  0.899  0.649  0.250
H  0.440  0.690  0.750
H  0.560  0.310  0.250



Copy entry 1 word for word.
# Cu2Ag2Hg
Simulated PXRD pattern, a wavelength of 1.5418 Å. Input: a GGA-PBE-relaxed structure.
Peak positions follow from Bragg's law for the DFT cell and can differ from measured ones.

Main lines, most intense first (2θ from 15° to 90°):
2θ/deg  Rel. int.
38.78  100.0
40.81  89.7
36.49  76.7
31.51  44.2
68.81  37.1
36.34  26.6
52.80  22.0
62.38  20.9
74.39  20.2
48.85  18.3

Atomic structure:
Cell: 6.992 6.992 3.468 Å, 90.00 90.00 90.00°
Fractional coordinates of all 10 atoms:
Cu  0.127  0.373  0.000
Cu  0.373  0.873  0.000
Cu  0.627  0.127  0.000
Cu  0.873  0.627  0.000
Ag  0.165  0.665  0.500
Ag  0.335  0.165  0.500
Ag  0.665  0.835  0.500
Ag  0.835  0.335  0.500
Hg  0.000  0.000  0.000
Hg  0.500  0.500  0.000